For In5BiCl8, a structure optimized by DFT (PBE) gives the simulated powder X-ray diffraction pattern in this record (Cu Kα, 1.54184 Å).

Structural model:
```
data_In5BiCl8
_symmetry_space_group_name_H-M 'I -4'
_symmetry_Int_Tables_number 82
_symmetry_space_group_name_Hall 'I -4'
_cell_length_a 9.2509
_cell_length_b 9.2509
_cell_length_c 9.8501
_cell_angle_alpha 90.00
_cell_angle_beta 90.00
_cell_angle_gamma 90.00
loop_
_atom_site_label
_atom_site_fract_x
_atom_site_fract_y
_atom_site_fract_z
_atom_site_occupancy
In1 0.0000 0.0000 0.0000 1
In2 0.0992 0.2712 0.6227 1
Bi1 0.0000 0.5000 0.2500 1
Cl1 0.0606 0.3265 0.0051 1
Cl2 0.0717 0.2139 0.3318 1
```

Most intense lines, 5 to 70 degrees two-theta, low angle first:
hkl 1 1 0, 13.5°, I 19; hkl 1 1 2, 22.6°, I 41; hkl 2 1 1, 23.3°, I 100; hkl 1 0 3, 28.9°, I 53; hkl 3 0 1, 30.4°, I 35; hkl 1 3 0, 30.6°, I 47; hkl 2 1 3, 34.9°, I 30; hkl 1 3 2, 35.7°, I 42; hkl 2 3 1, 36.2°, I 26; hkl 2 0 4, 41.5°, I 21; hkl 4 2 0, 43.8°, I 26; hkl 4 1 3, 49.2°, I 21

=====

For InBi2Cl6, a structure optimized by DFT (PBE) gives the simulated powder X-ray diffraction pattern in this record (Cu Kα, 1.54184 Å).

Structural model:
```
data_InBi2Cl6
_symmetry_space_group_name_H-M 'C 1 2/c 1'
_symmetry_Int_Tables_number 15
_symmetry_space_group_name_Hall '-C 2yc'
_cell_length_a 12.9090
_cell_length_b 12.9853
_cell_length_c 11.2409
_cell_angle_alpha 90.00
_cell_angle_beta 122.79
_cell_angle_gamma 90.00
loop_
_atom_site_label
_atom_site_fract_x
_atom_site_fract_y
_atom_site_fract_z
_atom_site_occupancy
In1 0.0000 0.0498 0.2500 1
Bi1 0.1196 0.4256 0.2153 1
Cl1 0.1102 0.2355 0.1659 1
Cl2 0.1326 0.4906 0.4891 1
Cl3 0.1435 0.0686 0.6054 1
```

Most intense lines, 5 to 70 degrees two-theta, low angle first:
hkl 1 1 0, 10.6°, I 53; hkl 1 1 -1, 10.9°, I 69; hkl 0 2 0, 13.6°, I 100; hkl 0 2 1, 16.6°, I 65; hkl 1 1 1, 16.9°, I 54; hkl 0 0 2, 18.8°, I 59; hkl 1 3 -1, 22.2°, I 46; hkl 3 1 -2, 22.5°, I 53; hkl 3 1 0, 25.6°, I 35; hkl 3 1 -4, 32.9°, I 74; hkl 1 5 -1, 35.6°, I 33; hkl 4 4 -1, 40.3°, I 28

=====

For InBi3Cl, a structure optimized by DFT (PBE) gives the simulated powder X-ray diffraction pattern in this record (Cu Kα, 1.54184 Å).

Structural model:
```
data_InBi3Cl
_symmetry_space_group_name_H-M 'C 1 2/c 1'
_symmetry_Int_Tables_number 15
_symmetry_space_group_name_Hall '-C 2yc'
_cell_length_a 13.3101
_cell_length_b 15.7931
_cell_length_c 6.7333
_cell_angle_alpha 90.00
_cell_angle_beta 104.79
_cell_angle_gamma 90.00
loop_
_atom_site_label
_atom_site_fract_x
_atom_site_fract_y
_atom_site_fract_z
_atom_site_occupancy
In1 0.0000 0.1637 0.2500 1
In2 0.0000 0.3069 0.7500 1
Bi1 0.0948 0.4308 0.1070 1
Bi2 0.1706 0.3234 0.5031 1
Bi3 0.1910 0.0158 0.3912 1
Cl1 0.1198 0.1823 0.9305 1
```

Most intense lines, 5 to 70 degrees two-theta, low angle first:
hkl 1 1 0, 8.9°, I 53; hkl 1 1 -1, 14.7°, I 38; hkl 1 3 1, 23.8°, I 29; hkl 3 3 0, 26.8°, I 54; hkl 1 1 -2, 27.1°, I 57; hkl 4 2 -1, 29.9°, I 47; hkl 2 4 1, 31.5°, I 100; hkl 1 3 2, 34.6°, I 31; hkl 5 1 0, 35.3°, I 24; hkl 4 2 -2, 35.7°, I 43; hkl 5 3 0, 39.0°, I 25; hkl 2 6 -2, 44.2°, I 35

=====

For InBi2Cl, a structure optimized by DFT (PBE) gives the simulated powder X-ray diffraction pattern in this record (Cu Kα, 1.54184 Å).

Structural model:
```
data_InBi2Cl
_symmetry_space_group_name_H-M 'P n n a'
_symmetry_Int_Tables_number 52
_symmetry_space_group_name_Hall '-P 2a 2bc'
_cell_length_a 7.9255
_cell_length_b 4.4266
_cell_length_c 16.9186
_cell_angle_alpha 90.00
_cell_angle_beta 90.00
_cell_angle_gamma 90.00
loop_
_atom_site_label
_atom_site_fract_x
_atom_site_fract_y
_atom_site_fract_z
_atom_site_occupancy
In1 0.2500 0.0000 0.1367 1
Bi1 0.0601 0.2479 0.9428 1
Cl1 0.0626 0.2500 0.2500 1
```

Most intense lines, 5 to 70 degrees two-theta, low angle first:
hkl 0 0 2, 10.5°, I 100; hkl 2 0 2, 24.8°, I 22; hkl 1 1 3, 28.0°, I 96; hkl 1 0 5, 28.7°, I 19; hkl 2 1 0, 30.3°, I 27; hkl 2 1 2, 32.1°, I 17; hkl 1 1 5, 35.3°, I 45; hkl 3 0 3, 37.6°, I 29; hkl 1 1 7, 44.2°, I 14; hkl 2 2 0, 47.0°, I 17; hkl 4 1 0, 50.5°, I 14; hkl 3 2 5, 61.1°, I 16

=====

For LiIn2BiCl6, a structure optimized by DFT (PBE) gives the simulated powder X-ray diffraction pattern in this record (Cu Kα, 1.54184 Å).

Structural model:
```
data_LiIn2BiCl6
_symmetry_space_group_name_H-M 'P 1 21/c 1'
_symmetry_Int_Tables_number 14
_symmetry_space_group_name_Hall '-P 2ybc'
_cell_length_a 7.2698
_cell_length_b 7.5515
_cell_length_c 12.6599
_cell_angle_alpha 90.00
_cell_angle_beta 124.78
_cell_angle_gamma 90.00
loop_
_atom_site_label
_atom_site_fract_x
_atom_site_fract_y
_atom_site_fract_z
_atom_site_occupancy
Li1 0.0000 0.0000 0.0000 1
In1 0.2317 0.0662 0.7476 1
Bi1 0.5000 0.0000 0.5000 1
Cl1 0.1556 0.2065 0.4592 1
Cl2 0.2549 0.7010 0.4596 1
Cl3 0.3254 0.0170 0.2434 1
```

Most intense lines, 5 to 70 degrees two-theta, low angle first:
hkl 0 1 1, 14.5°, I 51; hkl 1 0 -2, 14.9°, I 45; hkl 0 2 0, 23.6°, I 22; hkl 1 1 -3, 24.1°, I 100; hkl 2 0 -2, 24.5°, I 25; hkl 1 2 0, 28.0°, I 24; hkl 2 1 -1, 28.5°, I 29; hkl 2 2 -2, 34.2°, I 42; hkl 0 0 4, 34.5°, I 29; hkl 2 1 -5, 37.9°, I 17; hkl 3 1 -1, 42.8°, I 25; hkl 3 1 -5, 43.0°, I 18

=====

For MgInBiCl6, a structure optimized by DFT (PBE) gives the simulated powder X-ray diffraction pattern in this record (Cu Kα, 1.54184 Å).

Structural model:
```
data_MgInBiCl6
_symmetry_space_group_name_H-M 'P -3 1 c'
_symmetry_Int_Tables_number 163
_symmetry_space_group_name_Hall '-P 3 2c'
_cell_length_a 6.8923
_cell_length_b 6.8923
_cell_length_c 13.9527
_cell_angle_alpha 90.00
_cell_angle_beta 90.00
_cell_angle_gamma 120.00
loop_
_atom_site_label
_atom_site_fract_x
_atom_site_fract_y
_atom_site_fract_z
_atom_site_occupancy
Mg1 0.3333 0.6667 0.2500 1
In1 0.0000 0.0000 0.0000 1
Bi1 0.3333 0.6667 0.7500 1
Cl1 0.0221 0.3813 0.1433 1
```

Most intense lines, 5 to 70 degrees two-theta, low angle first:
hkl 0 0 2, 12.7°, I 21; hkl 1 0 1, 16.2°, I 51; hkl 1 0 2, 19.6°, I 100; hkl 1 0 3, 24.3°, I 27; hkl 1 1 0, 25.9°, I 26; hkl 1 1 2, 28.9°, I 26; hkl 2 0 1, 30.6°, I 17; hkl 2 0 2, 32.6°, I 24; hkl 1 1 4, 36.7°, I 71; hkl 3 -1 1, 40.5°, I 17; hkl 2 1 2, 42.1°, I 28; hkl 3 0 0, 45.6°, I 25